CePu: calculated PXRD pattern (Cu Kα X-rays), based on a PBE-relaxed structure.
Peak positions follow from Bragg's law for the DFT cell and can differ from measured ones.

The 6 most intense peaks (10 to 90 degrees two-theta), in order of rising 2θ:
2θ (°)	I/Imax
33.37	1000
33.98	318
38.90	663
55.78	237
56.60	227
66.95	275

Structural model:
Lattice parameters (Å, degrees): 3.2960 3.2960 15.8299 90.00 90.00 120.00
Space group R-3m (No. 166, hexagonal axes)
Inequivalent atoms, fractional coordinates:
Ce 0.0000 0.0000 0.0000
Pu 0.0000 0.0000 0.5000